The following is a computed XRD peak list of Na2MnCoNiO6. It was derived from a structure optimized by DFT (PBE+U), using Cu Kα (λ = 1.5418 Å).

Peak list (6 most intense, 10° ≤ 2θ ≤ 80°, by angle)
| Position (°2θ) | I_rel | h k l |
| --- | --- | --- |
| 15.72 | 100.0 | 2 0 -1 |
| 31.76 | 14.3 | 4 0 -2 |
| 36.47 | 14.5 | 2 0 2 |
| 37.07 | 21.0 | 3 1 0 |
| 43.98 | 18.6 | 0 0 3 |
| 44.83 | 38.5 | 5 1 -1 |

Crystal structure
```
data_Na2MnCoNiO6
_chemical_formula_sum 'Na4 Mn2 Co2 Ni2 O12'
_space_group_name_H-M_alt 'C 1 m 1'
_space_group_IT_number 8
_cell_length_a 14.0311
_cell_length_b 2.9211
_cell_length_c 6.6399
_cell_angle_alpha 90.00
_cell_angle_beta 111.53
_cell_angle_gamma 90.00
loop_
_space_group_symop_operation_xyz
'x,y,z'
'x,-y,z'
'x+1/2,y+1/2,z'
'x+1/2,-y+1/2,z'
loop_
_atom_site_label
_atom_site_type_symbol
_atom_site_fract_x
_atom_site_fract_y
_atom_site_fract_z
Na1 Na 0.0000 0.0000 0.0000
Na2 Na 0.2413 0.0000 0.4490
Mn1 Mn 0.1179 0.0000 0.7247
Co1 Co 0.2898 0.5000 0.0487
Ni1 Ni 0.4524 0.0000 0.3940
O1 O 0.0294 0.5000 0.7361
O2 O 0.0488 0.0000 0.4110
O3 O 0.1874 0.0000 0.0353
O4 O 0.2086 0.5000 0.7097
O5 O 0.3575 0.5000 0.3774
O6 O 0.3824 0.0000 0.0524
```



The following is a computed XRD peak list of MgW2O4. It was derived from a structure optimized by DFT (PBE+U), using Cu Kα (λ = 1.5418 Å).

Peak list (6 most intense, 10° ≤ 2θ ≤ 80°, by angle)
| Position (°2θ) | I_rel | h k l |
| --- | --- | --- |
| 16.92 | 100.0 | 0 2 0 |
| 31.90 | 40.2 | 2 0 1 |
| 32.07 | 20.2 | 0 0 2 |
| 36.32 | 61.8 | 2 2 1 |
| 36.47 | 29.1 | 0 2 2 |
| 47.48 | 33.3 | 2 4 1 |

Crystal structure
```
data_MgW2O4
_chemical_formula_sum 'Mg4 W8 O16'
_space_group_name_H-M_alt 'P m m n'
_space_group_IT_number 59
_cell_length_a 6.4898
_cell_length_b 10.4822
_cell_length_c 5.5823
_cell_angle_alpha 90.00
_cell_angle_beta 90.00
_cell_angle_gamma 90.00
loop_
_space_group_symop_operation_xyz
'x,y,z'
'-x,-y,-z'
'-x+1/2,-y+1/2,z'
'x+1/2,y+1/2,-z'
'x+1/2,-y,-z'
'-x+1/2,y,z'
'-x,y+1/2,-z'
'x,-y+1/2,z'
loop_
_atom_site_label
_atom_site_type_symbol
_atom_site_fract_x
_atom_site_fract_y
_atom_site_fract_z
Mg1 Mg 0.2500 0.2500 0.0473
Mg2 Mg 0.2500 0.7500 0.3556
W1 W 0.0000 0.0000 0.5000
W2 W 0.2500 0.5216 0.9810
O1 O 0.0053 0.1130 0.8356
O2 O 0.2500 0.0971 0.2951
O3 O 0.2500 0.6158 0.6259
```



The following is a computed XRD peak list of CoSe2O8. It was derived from a structure optimized by DFT (PBE+U), using Cu Kα (λ = 1.5418 Å).

Peak list (6 most intense, 10° ≤ 2θ ≤ 80°, by angle)
| Position (°2θ) | I_rel | h k l |
| --- | --- | --- |
| 18.75 | 87.6 | 1 1 0 |
| 19.62 | 29.3 | 1 1 -1 |
| 25.27 | 51.4 | 0 0 2 |
| 30.37 | 53.5 | 2 1 0 |
| 32.55 | 22.2 | 2 1 -2 |
| 35.53 | 100.0 | 1 2 -2 |

Crystal structure
```
data_CoSe2O8
_chemical_formula_sum 'Co2 Se4 O16'
_space_group_name_H-M_alt 'P 1 21/c 1'
_space_group_IT_number 14
_cell_length_a 6.9958
_cell_length_b 6.8872
_cell_length_c 7.5763
_cell_angle_alpha 90.00
_cell_angle_beta 111.44
_cell_angle_gamma 90.00
loop_
_space_group_symop_operation_xyz
'x,y,z'
'-x,-y,-z'
'-x,y+1/2,-z+1/2'
'x,-y+1/2,z+1/2'
loop_
_atom_site_label
_atom_site_type_symbol
_atom_site_fract_x
_atom_site_fract_y
_atom_site_fract_z
Co1 Co 0.0000 0.0000 0.0000
Se1 Se 0.3637 0.2410 0.4530
O1 O 0.0426 0.2055 0.2316
O2 O 0.0975 0.7128 0.7148
O3 O 0.2864 0.0539 0.0353
O4 O 0.3429 0.0617 0.5895
```



The following is a computed XRD peak list of Er2MgTl2W4O16. It was derived from a structure optimized by DFT (PBE+U), using Cu Kα (λ = 1.5418 Å).

Peak list (6 most intense, 10° ≤ 2θ ≤ 80°, by angle)
| Position (°2θ) | I_rel | h k l |
| --- | --- | --- |
| 26.09 | 75.5 | 0 0 2 |
| 27.24 | 100.0 | 2 0 0 |
| 28.58 | 76.4 | 0 2 2 |
| 29.41 | 93.0 | 2 2 0 |
| 30.77 | 97.1 | 0 2 0 |
| 32.80 | 67.8 | 2 2 2 |

Crystal structure
```
data_Er2MgTl2W4O16
_chemical_formula_sum 'Er2 Mg1 Tl2 W4 O16'
_space_group_name_H-M_alt 'P 1'
_space_group_IT_number 1
_cell_length_a 7.5167
_cell_length_b 7.5183
_cell_length_c 7.9133
_cell_angle_alpha 62.58
_cell_angle_beta 88.85
_cell_angle_gamma 63.54
loop_
_space_group_symop_operation_xyz
'x,y,z'
loop_
_atom_site_label
_atom_site_type_symbol
_atom_site_fract_x
_atom_site_fract_y
_atom_site_fract_z
Er1 Er 0.0000 0.0000 0.0000
Er2 Er 0.4905 0.4787 0.5865
Mg1 Mg 0.9148 0.4880 0.1399
Tl1 Tl 0.1393 0.4729 0.8767
Tl2 Tl 0.4493 0.9951 0.5900
W1 W 0.5277 0.4374 0.1146
W2 W 0.5523 0.9378 0.0935
W3 W 0.9232 0.5417 0.4961
W4 W 0.9502 0.0349 0.4801
O1 O 0.0001 0.9496 0.7395
O2 O 0.0174 0.2888 0.4221
O3 O 0.2014 0.8527 0.4586
O4 O 0.2119 0.4362 0.5869
O5 O 0.2640 0.0482 0.0190
O6 O 0.2829 0.6250 0.1381
O7 O 0.4675 0.5304 0.8489
O8 O 0.4903 0.1789 0.1773
O9 O 0.6040 0.7079 0.3756
O10 O 0.6187 0.6722 0.0404
O11 O 0.6212 0.1107 0.8693
O12 O 0.6454 0.2882 0.4123
O13 O 0.8506 0.3724 0.7179
O14 O 0.8519 0.2208 0.1651
O15 O 0.8559 0.8236 0.5184
O16 O 0.8908 0.7446 0.1997
```



The following is a computed XRD peak list of NiHO2. It was derived from a structure optimized by DFT (PBE+U), using Cu Kα (λ = 1.5418 Å).

Peak list (6 most intense, 10° ≤ 2θ ≤ 80°, by angle)
| Position (°2θ) | I_rel | h k l |
| --- | --- | --- |
| 20.16 | 100.0 | 0 0 1 |
| 34.62 | 30.6 | 2 0 0 |
| 39.25 | 48.7 | 1 1 -1 |
| 44.79 | 22.2 | 2 0 1 |
| 51.93 | 26.3 | 1 1 -2 |
| 61.82 | 15.1 | 3 1 -1 |

Crystal structure
```
data_NiHO2
_chemical_formula_sum 'Ni2 H2 O4'
_space_group_name_H-M_alt 'C 1 m 1'
_space_group_IT_number 8
_cell_length_a 5.3518
_cell_length_b 2.8525
_cell_length_c 4.5488
_cell_angle_alpha 90.00
_cell_angle_beta 104.45
_cell_angle_gamma 90.00
loop_
_space_group_symop_operation_xyz
'x,y,z'
'x,-y,z'
'x+1/2,y+1/2,z'
'x+1/2,-y+1/2,z'
loop_
_atom_site_label
_atom_site_type_symbol
_atom_site_fract_x
_atom_site_fract_y
_atom_site_fract_z
Ni1 Ni 0.0000 0.0000 0.0000
H1 H 0.4896 0.0000 0.4706
O1 O 0.1024 0.5000 0.7779
O2 O 0.3991 0.0000 0.2280
```